No. 1
# CrCuPt2
Theoretical powder diffractogram, Cu Kα. Input: the PBE geometry in Alexandria.

Cell and atoms:
```
data_CrCuPt2
_cell_length_a 6.185
_cell_length_b 6.185
_cell_length_c 6.185
_cell_angle_alpha 90.00
_cell_angle_beta 90.00
_cell_angle_gamma 90.00
_symmetry_space_group_name_H-M 'F -4 3 m'
_symmetry_Int_Tables_number 216
_symmetry_space_group_name_Hall 'F -4 2 3'
loop_
_atom_site_label
_atom_site_fract_x
_atom_site_fract_y
_atom_site_fract_z
Cr1 0.000 0.000 0.000
Cu1 0.250 0.250 0.750
Pt1 0.000 0.000 0.500
Pt2 0.250 0.250 0.250
```

Main lines, sorted by position (2θ = 10–90°):
d/Å	I/Imax
3.571	32.2
2.187	100.0
1.865	17.1
1.546	16.6
1.262	33.5
1.093	11.1


No. 2
# ZnHBr
Theoretical powder diffractogram, Cu Kα. Input: the PBE geometry in Alexandria.

Cell and atoms:
```
data_ZnHBr
_cell_length_a 3.870
_cell_length_b 14.334
_cell_length_c 4.917
_cell_angle_alpha 90.00
_cell_angle_beta 90.00
_cell_angle_gamma 90.00
_symmetry_space_group_name_H-M 'C m c 21'
_symmetry_Int_Tables_number 36
_symmetry_space_group_name_Hall 'C 2c -2'
loop_
_atom_site_label
_atom_site_fract_x
_atom_site_fract_y
_atom_site_fract_z
Zn1 0.000 0.056 0.000
H1 0.000 0.046 0.662
Br1 0.000 0.347 0.626
```

Main lines, sorted by position (2θ = 10–90°):
d/Å	I/Imax
4.055	100.0
3.007	47.9
2.975	19.9
2.086	48.3
2.054	15.8
1.746	18.2


No. 3
# Mg2Si5Ni3
Theoretical powder diffractogram, Cu Kα. Input: the PBE geometry in Alexandria.

Cell and atoms:
```
data_Mg2Si5Ni3
_cell_length_a 3.824
_cell_length_b 22.417
_cell_length_c 6.443
_cell_angle_alpha 90.00
_cell_angle_beta 90.00
_cell_angle_gamma 90.00
_symmetry_space_group_name_H-M 'C m c 21'
_symmetry_Int_Tables_number 36
_symmetry_space_group_name_Hall 'C 2c -2'
loop_
_atom_site_label
_atom_site_fract_x
_atom_site_fract_y
_atom_site_fract_z
Mg1 0.000 0.024 0.000
Mg2 0.000 0.325 0.946
Si1 0.000 0.100 0.614
Si2 0.000 0.208 0.142
Si3 0.000 0.209 0.737
Si4 0.000 0.380 0.509
Si5 0.000 0.448 0.838
Ni1 0.000 0.111 0.248
Ni2 0.000 0.274 0.440
Ni3 0.000 0.448 0.216
```

Main lines, sorted by position (2θ = 10–90°):
d/Å	I/Imax
3.231	46.5
2.340	100.0
2.294	59.0
1.912	55.7
1.816	53.7
1.752	52.0


No. 4
# K4SF
Theoretical powder diffractogram, Cu Kα. Input: the PBE geometry in Alexandria.

Cell and atoms:
```
data_K4SF
_cell_length_a 5.194
_cell_length_b 5.449
_cell_length_c 8.008
_cell_angle_alpha 70.49
_cell_angle_beta 89.97
_cell_angle_gamma 90.00
_symmetry_space_group_name_H-M 'P 1'
_symmetry_Int_Tables_number 1
_symmetry_space_group_name_Hall 'P 1'
loop_
_atom_site_label
_atom_site_fract_x
_atom_site_fract_y
_atom_site_fract_z
K1 0.000 0.000 0.000
K2 0.001 0.735 0.534
K3 0.500 0.515 0.969
K4 0.501 0.286 0.432
S1 0.500 0.879 0.243
F1 0.000 0.559 0.885
```

Main lines, sorted by position (2θ = 10–90°):
d/Å	I/Imax
3.774	73.2
3.648	100.0
3.018	79.3
3.005	80.1
2.724	94.2
2.597	81.2